(1)
The following is a theoretical PXRD pattern of Mn2PO5. It was derived from a DFT-relaxed cell (GGA+U, the Materials Project), using copper Kα.
Lines closer than 0.1° are merged.

Structure:
Cell lengths 6.164, 7.465, 8.559 Å; angles 73.84, 88.88, 80.20 degrees
Space group P-1 (No. 2)
Unique sites:
Mn1 0.028 0.333 0.294
Mn2 0.138 0.893 0.375
Mn3 0.322 0.132 0.058
Mn4 0.464 0.701 0.698
P1 0.207 0.702 0.064
P2 0.301 0.286 0.668
O1 0.003 0.708 0.961
O2 0.088 0.279 0.574
O3 0.148 0.859 0.612
O4 0.176 0.869 0.145
O5 0.242 0.512 0.207
O6 0.251 0.477 0.718
O7 0.277 0.128 0.304
O8 0.349 0.119 0.823
O9 0.411 0.711 0.957
O10 0.500 0.286 0.557

Top 10 peaks for 10° ≤ 2θ ≤ 90°, low angle first:
index	d/Å	2theta	I/Imax
0 2 0	3.528	25.25	1000
1 2 1	3.370	26.45	356
-1 2 1	2.915	30.67	433
1 2 -1	2.837	31.53	447
2 0 1	2.821	31.72	425
0 0 3	2.739	32.69	552
0 2 3	2.533	35.44	489
0 1 4	2.139	42.25	447
2 -2 0	2.129	42.47	489
2 3 0	2.037	44.47	499

***

(2)
The following is a theoretical PXRD pattern of NaCrF6. It was derived from a DFT-relaxed cell (GGA+U, the Materials Project), using copper Kα.
Lines closer than 0.1° are merged.

Structure:
Cell lengths 9.566, 5.930, 7.866 Å; angles 90.00, 90.00, 90.00 degrees
Space group Pnma (No. 62)
Unique sites:
Na1 0.004 0.250 0.166
Cr1 0.229 0.250 0.616
F1 0.105 0.033 0.673
F2 0.143 0.536 0.051
F3 0.165 0.250 0.402
F4 0.198 0.750 0.319

Top 10 peaks for 10° ≤ 2θ ≤ 90°, low angle first:
index	d/Å	2theta	I/Imax
2 0 0	4.783	18.55	309
0 1 1	4.735	18.74	222
1 1 1	4.244	20.93	1000
1 0 2	3.637	24.47	427
2 1 1	3.365	26.49	724
2 2 0	2.520	35.62	115
3 2 1	2.093	43.22	240
3 0 3	2.025	44.75	169
3 2 2	1.901	47.85	180
4 2 0	1.861	48.93	240

***

(3)
The following is a theoretical PXRD pattern of AlSbW2O8. It was derived from a DFT-relaxed cell (GGA+U, the Materials Project), using copper Kα.
Lines closer than 0.1° are merged.

Structure:
Cell lengths 5.080, 5.390, 6.191 Å; angles 113.20, 105.99, 97.89 degrees
Space group P1 (No. 1)
Unique sites:
Al1 0.000 0.000 0.000
Sb1 0.424 0.469 0.904
W1 0.257 0.782 0.481
W2 0.692 0.370 0.424
O1 0.110 0.515 0.639
O2 0.170 0.057 0.787
O3 0.198 0.842 0.174
O4 0.286 0.389 0.254
O5 0.548 0.173 0.617
O6 0.655 0.721 0.712
O7 0.748 0.097 0.160
O8 0.835 0.652 0.322

Top 10 peaks for 10° ≤ 2θ ≤ 90°, low angle first:
index	d/Å	2theta	I/Imax
0 0 1	5.305	16.71	741
0 1 0	4.763	18.63	426
1 1 -1	3.429	25.99	318
1 -1 1	3.272	27.25	851
-1 1 1	3.056	29.22	843
1 1 0	2.955	30.24	1000
1 1 -2	2.810	31.85	548
0 0 2	2.652	33.79	357
2 0 -1	2.507	35.83	367
1 -2 3	1.659	55.40	344

***

(4)
The following is a theoretical PXRD pattern of LiMn5Cu2O12. It was derived from a DFT-relaxed cell (GGA+U, the Materials Project), using copper Kα.
Lines closer than 0.1° are merged.

Structure:
Cell lengths 5.387, 8.668, 9.645 Å; angles 90.00, 97.21, 90.00 degrees
Space group C2 (No. 5)
Unique sites:
Li1 0.000 0.000 0.000
Mn1 0.000 0.152 0.500
Mn2 0.000 0.490 0.500
Mn3 0.000 0.661 0.000
Mn4 0.242 0.828 0.242
Cu1 0.000 0.331 0.000
Cu2 0.000 0.820 0.500
O1 0.065 0.319 0.376
O2 0.065 0.816 0.869
O3 0.121 0.485 0.897
O4 0.157 0.182 0.900
O5 0.158 0.657 0.400
O6 0.158 0.982 0.398

Top 10 peaks for 10° ≤ 2θ ≤ 90°, low angle first:
index	d/Å	2theta	I/Imax
0 0 2	4.784	18.55	828
0 2 0	4.334	20.49	375
1 1 -1	4.290	20.70	231
1 1 1	3.948	22.52	647
1 1 -3	2.754	32.52	184
1 3 1	2.421	37.14	276
2 0 2	2.217	40.69	603
1 3 -3	2.048	44.22	1000
3 3 -1	1.523	60.82	299
1 3 5	1.487	62.46	294

***

(5)
The following is a theoretical PXRD pattern of LiTiFeO4. It was derived from a DFT-relaxed cell (GGA+U, the Materials Project), using copper Kα.
Lines closer than 0.1° are merged.

Structure:
Cell lengths 3.953, 3.991, 5.444 Å; angles 111.45, 111.21, 90.02 degrees
Space group P1 (No. 1)
Unique sites:
Li1 0.000 0.000 0.000
Ti1 0.266 0.719 0.451
Fe1 0.469 0.469 0.938
O1 0.012 0.514 0.026
O2 0.256 0.252 0.499
O3 0.439 0.939 0.875
O4 0.693 0.695 0.388

Top 10 peaks for 10° ≤ 2θ ≤ 90°, low angle first:
index	d/Å	2theta	I/Imax
0 1 0	3.670	24.26	912
1 0 0	3.640	24.45	1000
-1 1 1	2.406	37.37	228
0 0 2	2.334	38.57	477
0 2 -1	1.995	45.46	366
2 0 -1	1.976	45.92	338
1 -2 1	1.750	52.28	209
1 0 2	1.690	54.27	232
0 2 1	1.517	61.10	202
2 0 -3	1.508	61.48	187

***

(6)
The following is a theoretical PXRD pattern of MnCr2O4. It was derived from a DFT-relaxed cell (GGA+U, the Materials Project), using copper Kα.
Lines closer than 0.1° are merged.

Structure:
Cell lengths 6.0804, 6.0804, 14.8531 Å; angles 90.00, 90.00, 120.00 degrees
Space group R-3m (No. 166, hexagonal axes)
Unique sites:
Mn1 0.0000 0.0000 0.1250
Cr1 0.0000 0.0000 0.5000
Cr2 0.0000 0.5000 0.0000
O1 0.0000 0.0000 0.2640
O2 0.0369 0.5184 0.2547

Top 10 peaks for 10° ≤ 2θ ≤ 90°, low angle first:
index	d/Å	2theta	I/Imax
0 0 3	4.960	17.88	127
1 1 0	3.037	29.41	325
1 1 3	2.590	34.63	1000
0 2 4	2.148	42.07	211
3 0 0	1.755	52.13	77
0 2 7	1.653	55.58	372
2 2 0	1.520	60.95	231
2 0 8	1.517	61.07	229
4 0 1	1.311	72.05	75
4 0 7	1.119	87.08	97

***

(7)
The following is a theoretical PXRD pattern of Fe3O2F2. It was derived from a DFT-relaxed cell (GGA+U, the Materials Project), using copper Kα.
Lines closer than 0.1° are merged.

Structure:
Cell lengths 8.541, 6.450, 6.111 Å; angles 90.00, 90.00, 90.00 degrees
Space group Pbcm (No. 57)
Unique sites:
Fe1 0.000 0.000 0.000
Fe2 0.274 0.249 0.250
Fe3 0.308 0.750 0.000
O1 0.232 0.033 0.501
F1 0.011 0.749 0.750
F2 0.486 0.740 0.250

Top 10 peaks for 10° ≤ 2θ ≤ 90°, low angle first:
index	d/Å	2theta	I/Imax
1 0 0	8.541	10.36	455
1 2 0	3.017	29.61	587
3 0 0	2.847	31.42	470
1 1 2	2.628	34.12	1000
2 2 0	2.574	34.86	359
0 2 2	2.218	40.67	449
1 2 2	2.147	42.09	282
4 0 0	2.135	42.33	417
1 3 2	1.722	53.18	391
4 2 2	1.538	60.15	397

***

(8)
The following is a theoretical PXRD pattern of Mg6CrSiO8. It was derived from a DFT-relaxed cell (GGA+U, the Materials Project), using copper Kα.
Lines closer than 0.1° are merged.

Structure:
Cell lengths 4.288, 4.288, 8.926 Å; angles 90.00, 90.00, 90.00 degrees
Space group P4/mmm (No. 123)
Unique sites:
Mg1 0.000 0.000 0.000
Mg2 0.000 0.500 0.240
Mg3 0.500 0.500 0.000
Cr1 0.000 0.000 0.500
Si1 0.500 0.500 0.500
O1 0.000 0.000 0.235
O2 0.000 0.500 0.000
O3 0.000 0.500 0.500
O4 0.500 0.500 0.237

Top 10 peaks for 10° ≤ 2θ ≤ 90°, low angle first:
index	d/Å	2theta	I/Imax
1 0 1	3.865	23.01	47
0 0 3	2.975	30.03	48
1 1 2	2.508	35.80	265
0 0 4	2.231	40.42	549
2 0 0	2.144	42.15	1000
2 0 4	1.546	59.82	585
2 2 0	1.516	61.13	282
1 1 6	1.336	70.51	53
3 1 2	1.297	72.91	98
2 2 4	1.254	75.87	259